# SmPu3Hg12
Computed X-ray diffraction stick pattern, copper Kα. Input: a crystal structure in Alexandria, relaxed with GGA-PBE.
Intensities are scaled so that the largest is 100.

Crystal structure
Cell lengths 4.6633, 4.6796, 18.9549 Å; angles 90.00, 90.00, 90.00 degrees
Fractional coordinates of all 16 atoms:
Sm 0.0000 0.0000 0.0000
Pu 0.0000 0.0000 0.2497
Pu 0.0000 0.0000 0.5000
Pu 0.0000 0.0000 0.7503
Hg 0.0000 0.5000 0.1235
Hg 0.0000 0.5000 0.3745
Hg 0.0000 0.5000 0.6255
Hg 0.0000 0.5000 0.8765
Hg 0.5000 0.0000 0.1234
Hg 0.5000 0.0000 0.3745
Hg 0.5000 0.0000 0.6255
Hg 0.5000 0.0000 0.8766
Hg 0.5000 0.5000 0.0000
Hg 0.5000 0.5000 0.2469
Hg 0.5000 0.5000 0.5000
Hg 0.5000 0.5000 0.7531

Most intense lines, 2θ from 10° to 90°, low angle first:
Position (°2θ), d (Å), intensity
33.06, 2.710, 100
37.98, 2.369, 17
38.47, 2.340, 17
38.61, 2.332, 17
55.17, 1.665, 12
55.28, 1.662, 12
65.50, 1.425, 14
66.18, 1.412, 14
66.37, 1.409, 14
69.36, 1.355, 12